Starting from DFT lattice parameters and positions (GGA-PBE), the X-ray powder pattern of Cs2NpI4Cl2 was simulated for λ = 1.5418 Å (Cu Kα).
Neutral-atom scattering factors, no anomalous dispersion.

Largest 8 diffraction maxima, by angle, 2θ = 10–90°:
2θ = 12.80°, I = 25; 2θ = 18.42°, I = 43; 2θ = 19.59°, I = 25; 2θ = 22.05°, I = 30; 2θ = 26.78°, I = 100; 2θ = 28.68°, I = 25; 2θ = 34.33°, I = 22; 2θ = 44.98°, I = 24

Atomic structure:
Unit cell a=8.1503 b=8.1503 c=6.9969 alpha=97.52 beta=97.52 gamma=63.40
Fractional positions:
1 Cs 0.1633 0.1633 0.2917
2 Cs 0.8367 0.8367 0.7083
3 Np 0.5000 0.5000 0.0000
4 I 0.1493 0.6542 0.2044
5 I 0.3458 0.8507 0.7956
6 I 0.6542 0.1493 0.2044
7 I 0.8507 0.3458 0.7956
8 Cl 0.3534 0.3534 0.7238
9 Cl 0.6466 0.6466 0.2762


Starting from DFT lattice parameters and positions (GGA-PBE), the X-ray powder pattern of Sn4As5Pb was simulated for λ = 1.5418 Å (Cu Kα).
Neutral-atom scattering factors, no anomalous dispersion.

Largest 8 diffraction maxima, by angle, 2θ = 10–90°:
2θ = 20.96°, I = 100; 2θ = 26.04°, I = 27; 2θ = 30.84°, I = 50; 2θ = 36.73°, I = 95; 2θ = 37.59°, I = 45; 2θ = 48.70°, I = 85; 2θ = 74.76°, I = 25; 2θ = 76.36°, I = 23

Atomic structure:
Unit cell a=4.8931 b=4.8931 c=28.9930 alpha=90.00 beta=90.00 gamma=120.00
Fractional positions:
1 Sn 0.0000 0.0000 0.0000
2 Sn 0.0000 0.0000 0.1985
3 Sn 0.0000 0.0000 0.8015
4 Sn 0.3333 0.6667 0.0995
5 Sn 0.3333 0.6667 0.2987
6 Sn 0.3333 0.6667 0.5000
7 Sn 0.3333 0.6667 0.7013
8 Sn 0.3333 0.6667 0.9005
9 As 0.0000 0.0000 0.0987
10 As 0.0000 0.0000 0.2957
11 As 0.0000 0.0000 0.5000
12 As 0.0000 0.0000 0.7043
13 As 0.0000 0.0000 0.9013
14 As 0.3333 0.6667 0.0000
15 As 0.3333 0.6667 0.1980
16 As 0.3333 0.6667 0.3982
17 As 0.3333 0.6667 0.6018
18 As 0.3333 0.6667 0.8020
19 Pb 0.0000 0.0000 0.3988
20 Pb 0.0000 0.0000 0.6012


Starting from DFT lattice parameters and positions (GGA-PBE), the X-ray powder pattern of Cs2NiAs2 was simulated for λ = 1.5418 Å (Cu Kα).
Neutral-atom scattering factors, no anomalous dispersion.

Largest 8 diffraction maxima, by angle, 2θ = 10–90°:
2θ = 24.50°, I = 20; 2θ = 26.09°, I = 100; 2θ = 28.91°, I = 27; 2θ = 30.98°, I = 48; 2θ = 32.49°, I = 19; 2θ = 46.93°, I = 21; 2θ = 48.45°, I = 22; 2θ = 49.54°, I = 17

Atomic structure:
Unit cell a=8.2838 b=8.2838 c=6.1776 alpha=90.00 beta=90.00 gamma=127.98
Fractional positions:
1 Cs 0.0918 0.9082 0.7500
2 Cs 0.2923 0.7077 0.2500
3 Cs 0.7077 0.2923 0.7500
4 Cs 0.9082 0.0918 0.2500
5 Ni 0.5000 0.5000 0.0000
6 Ni 0.5000 0.5000 0.5000
7 As 0.2426 0.4215 0.7500
8 As 0.4215 0.2426 0.2500
9 As 0.5785 0.7574 0.7500
10 As 0.7574 0.5785 0.2500


Starting from DFT lattice parameters and positions (GGA-PBE), the X-ray powder pattern of K2Zn4SnGe3 was simulated for λ = 1.5418 Å (Cu Kα).
Neutral-atom scattering factors, no anomalous dispersion.

Largest 8 diffraction maxima, by angle, 2θ = 10–90°:
2θ = 15.55°, I = 28; 2θ = 21.53°, I = 28; 2θ = 31.02°, I = 27; 2θ = 32.63°, I = 100; 2θ = 40.75°, I = 62; 2θ = 42.92°, I = 59; 2θ = 69.07°, I = 21; 2θ = 75.68°, I = 22

Atomic structure:
Unit cell a=4.4281 b=4.4281 c=11.3938 alpha=90.00 beta=90.00 gamma=90.00
Fractional positions:
1 K 0.0000 0.5000 0.2392
2 K 0.5000 0.0000 0.7608
3 Zn 0.0000 0.0000 0.0000
4 Zn 0.0000 0.5000 0.6517
5 Zn 0.5000 0.0000 0.3483
6 Zn 0.5000 0.5000 0.0000
7 Sn 0.0000 0.0000 0.5000
8 Ge 0.0000 0.5000 0.8737
9 Ge 0.5000 0.0000 0.1263
10 Ge 0.5000 0.5000 0.5000